Record 1
Calculated powder XRD pattern
Compound: Pa2NiGe2
Radiation: copper Kα
Structure: a crystal structure in Alexandria, relaxed with PBE
Neutral-atom scattering factors, no anomalous dispersion.

Peak list (10 most intense, 15 to 90 degrees two-theta, in order of rising 2θ)
| 2θ (°) | Rel. int. |
| --- | --- |
| 24.69 | 38 |
| 31.71 | 37 |
| 33.43 | 52 |
| 33.96 | 43 |
| 36.01 | 100 |
| 37.15 | 43 |
| 37.63 | 56 |
| 38.50 | 42 |
| 39.19 | 35 |
| 43.15 | 50 |

```
Pa2NiGe2
1.0
9.574 0.000 0.000
0.000 5.661 0.000
-1.610 0.000 7.383
Pa Ni Ge
8 4 8
direct
0.112 0.142 0.082
0.112 0.358 0.582
0.342 0.620 0.994
0.342 0.880 0.494
0.658 0.120 0.506
0.658 0.380 0.006
0.888 0.642 0.418
0.888 0.858 0.918
0.332 0.115 0.840
0.332 0.385 0.340
0.668 0.615 0.660
0.668 0.885 0.160
0.122 0.640 0.219
0.122 0.860 0.719
0.433 0.106 0.161
0.433 0.394 0.661
0.567 0.606 0.339
0.567 0.894 0.839
0.878 0.140 0.281
0.878 0.360 0.781
```

Record 2
Calculated powder XRD pattern
Compound: Li5AlAg2
Radiation: copper Kα
Structure: a crystal structure in Alexandria, relaxed with PBE
Neutral-atom scattering factors, no anomalous dispersion.

Peak list (10 most intense, 15 to 90 degrees two-theta, in order of rising 2θ)
| 2θ (°) | Rel. int. |
| --- | --- |
| 24.50 | 62 |
| 29.61 | 77 |
| 32.12 | 81 |
| 38.79 | 100 |
| 42.37 | 39 |
| 44.25 | 33 |
| 48.17 | 27 |
| 49.55 | 35 |
| 59.38 | 19 |
| 75.10 | 27 |

```
Li5AlAg2
1.0
-2.133 2.133 7.267
2.133 -2.133 7.267
2.133 2.133 -7.267
Li Al Ag
5 1 2
direct
0.000 0.000 0.000
0.130 0.630 0.500
0.370 0.870 0.500
0.630 0.130 0.500
0.870 0.370 0.500
0.500 0.500 0.000
0.254 0.254 0.000
0.746 0.746 0.000
```

Record 3
Calculated powder XRD pattern
Compound: K2U3I4O20
Radiation: copper Kα
Structure: a crystal structure in Alexandria, relaxed with PBE
Neutral-atom scattering factors, no anomalous dispersion.

Peak list (10 most intense, 15 to 90 degrees two-theta, in order of rising 2θ)
| 2θ (°) | Rel. int. |
| --- | --- |
| 15.06 | 100 |
| 23.23 | 37 |
| 24.48 | 63 |
| 25.35 | 39 |
| 28.01 | 42 |
| 28.29 | 39 |
| 28.71 | 43 |
| 29.38 | 39 |
| 29.98 | 33 |
| 44.63 | 39 |

```
K2U3I4O20
1.0
7.080 0.000 0.000
-0.184 8.125 0.000
-2.442 -0.388 8.933
K U I O
2 3 4 20
direct
0.247 0.396 0.163
0.753 0.604 0.837
0.049 0.912 0.189
0.500 0.000 0.000
0.951 0.088 0.811
0.203 0.649 0.556
0.379 0.214 0.630
0.621 0.786 0.370
0.797 0.351 0.444
0.025 0.699 0.108
0.064 0.803 0.433
0.077 0.121 0.276
0.150 0.469 0.426
0.190 0.007 0.012
0.276 0.105 0.771
0.388 0.882 0.281
0.411 0.415 0.724
0.454 0.712 0.550
0.457 0.792 0.913
0.543 0.208 0.087
0.546 0.288 0.450
0.589 0.585 0.276
0.612 0.118 0.719
0.724 0.895 0.229
0.810 0.993 0.988
0.850 0.531 0.574
0.923 0.879 0.724
0.936 0.197 0.567
0.975 0.301 0.892
```

Record 4
Calculated powder XRD pattern
Compound: BaLa2Au
Radiation: copper Kα
Structure: a crystal structure in Alexandria, relaxed with PBE
Neutral-atom scattering factors, no anomalous dispersion.

Peak list (10 most intense, 15 to 90 degrees two-theta, in order of rising 2θ)
| 2θ (°) | Rel. int. |
| --- | --- |
| 27.04 | 100 |
| 31.47 | 21 |
| 33.32 | 37 |
| 37.39 | 15 |
| 39.61 | 14 |
| 43.36 | 34 |
| 46.80 | 17 |
| 51.85 | 17 |
| 69.18 | 24 |
| 69.83 | 14 |

```
BaLa2Au
1.0
2.087 1.205 10.738
-2.087 1.205 10.738
0.000 -2.410 10.738
Ba La Au
1 2 1
direct
0.000 0.000 0.000
0.225 0.225 0.225
0.775 0.775 0.775
0.500 0.500 0.500
```

Record 5
Calculated powder XRD pattern
Compound: Li2SiS3
Radiation: copper Kα
Structure: a crystal structure in Alexandria, relaxed with PBE
Neutral-atom scattering factors, no anomalous dispersion.

Peak list (10 most intense, 15 to 90 degrees two-theta, in order of rising 2θ)
| 2θ (°) | Rel. int. |
| --- | --- |
| 15.14 | 51 |
| 21.13 | 82 |
| 26.12 | 55 |
| 26.31 | 82 |
| 29.78 | 90 |
| 30.13 | 38 |
| 30.30 | 100 |
| 46.20 | 55 |
| 53.18 | 42 |
| 55.94 | 39 |

```
Li2SiS3
1.0
5.853 -3.411 0.000
5.853 3.411 0.000
0.000 0.000 6.001
Li Si S
4 2 6
direct
0.011 0.319 0.000
0.319 0.011 0.500
0.681 0.989 0.000
0.989 0.681 0.500
0.336 0.664 0.988
0.664 0.336 0.488
0.042 0.655 0.903
0.345 0.958 0.903
0.361 0.639 0.361
0.639 0.361 0.861
0.655 0.042 0.403
0.958 0.345 0.403
```

Record 6
Calculated powder XRD pattern
Compound: TmFe5P3
Radiation: copper Kα
Structure: a crystal structure in Alexandria, relaxed with PBE
Neutral-atom scattering factors, no anomalous dispersion.

Peak list (10 most intense, 15 to 90 degrees two-theta, in order of rising 2θ)
| 2θ (°) | Rel. int. |
| --- | --- |
| 27.09 | 22 |
| 30.23 | 13 |
| 35.87 | 16 |
| 38.03 | 18 |
| 39.28 | 100 |
| 39.39 | 52 |
| 40.44 | 25 |
| 50.16 | 31 |
| 53.90 | 20 |
| 76.70 | 17 |

```
TmFe5P3
1.0
11.769 0.000 0.000
0.000 3.637 0.000
0.000 0.000 10.249
Tm Fe P
4 20 12
direct
0.204 0.250 0.080
0.296 0.750 0.580
0.704 0.250 0.420
0.796 0.750 0.920
0.010 0.750 0.095
0.011 0.750 0.708
0.068 0.750 0.463
0.176 0.250 0.780
0.202 0.250 0.376
0.298 0.750 0.876
0.324 0.750 0.280
0.432 0.250 0.963
0.489 0.250 0.208
0.490 0.250 0.595
0.510 0.750 0.405
0.511 0.750 0.792
0.568 0.750 0.037
0.676 0.250 0.720
0.702 0.250 0.124
0.798 0.750 0.624
0.824 0.750 0.220
0.932 0.250 0.537
0.989 0.250 0.292
0.990 0.250 0.905
0.104 0.750 0.900
0.113 0.250 0.577
0.129 0.750 0.265
0.371 0.250 0.765
0.387 0.750 0.077
0.396 0.250 0.400
0.604 0.750 0.600
0.613 0.250 0.923
0.629 0.750 0.235
0.871 0.250 0.735
0.887 0.750 0.423
0.896 0.250 0.100
```

Record 7
Calculated powder XRD pattern
Compound: Ca2Ga4IrAu3
Radiation: copper Kα
Structure: a crystal structure in Alexandria, relaxed with PBE
Neutral-atom scattering factors, no anomalous dispersion.

Peak list (10 most intense, 15 to 90 degrees two-theta, in order of rising 2θ)
| 2θ (°) | Rel. int. |
| --- | --- |
| 15.33 | 32 |
| 22.73 | 57 |
| 23.09 | 28 |
| 31.39 | 31 |
| 31.66 | 21 |
| 34.22 | 100 |
| 43.53 | 63 |
| 43.93 | 78 |
| 44.86 | 30 |
| 80.20 | 28 |

```
Ca2Ga4IrAu3
1.0
4.158 0.000 0.000
0.000 4.158 0.000
0.000 0.000 11.558
Ca Ga Ir Au
2 4 1 3
direct
0.000 0.500 0.242
0.500 0.000 0.758
0.000 0.000 0.500
0.000 0.500 0.870
0.500 0.000 0.130
0.500 0.500 0.500
0.500 0.500 0.000
0.000 0.000 0.000
0.000 0.500 0.649
0.500 0.000 0.351
```

Record 8
Calculated powder XRD pattern
Compound: Pr2HfAs3
Radiation: copper Kα
Structure: a crystal structure in Alexandria, relaxed with PBE
Neutral-atom scattering factors, no anomalous dispersion.

Peak list (10 most intense, 15 to 90 degrees two-theta, in order of rising 2θ)
| 2θ (°) | Rel. int. |
| --- | --- |
| 26.32 | 31 |
| 30.36 | 100 |
| 30.73 | 47 |
| 43.47 | 37 |
| 43.74 | 71 |
| 54.17 | 38 |
| 71.68 | 17 |
| 71.88 | 16 |
| 72.47 | 14 |
| 79.99 | 24 |

```
Pr2HfAs3
1.0
-2.082 2.082 8.729
2.082 -2.082 8.729
2.082 2.082 -8.729
Pr Hf As
2 1 3
direct
0.167 0.167 0.000
0.833 0.833 0.000
0.500 0.500 0.000
0.000 0.000 0.000
0.343 0.343 0.000
0.657 0.657 0.000
```